[1]
# Y2Cd2Ge
Theoretical powder X-ray diffraction pattern, Cu Kα, 1.54184 Å. Input: the PBE geometry in Alexandria.

Top 10 peaks for 10 to 80 degrees two-theta, in order of rising 2θ:
two_theta  I/Imax  hkl
18.81  8  0 0 1
31.07  14  2 0 1
33.49  100  2 1 1
38.15  22  0 0 2
39.21  29  3 1 0
43.83  6  3 1 1
55.68  8  4 1 1
55.86  20  3 1 2
66.00  13  2 1 3
72.93  12  5 2 1

Structural model:
a b c (Å): 7.265 7.265 4.718
angles (deg): 90.00 90.00 90.00
Space group P4/mbm (No. 127)
Symmetry-distinct sites (fractional):
Y: 0.170 0.330 0.000
Cd: 0.135 0.635 0.500
Ge: 0.000 0.000 0.500

[2]
# CdH4
Theoretical powder X-ray diffraction pattern, Cu Kα, 1.54184 Å. Input: the PBE geometry in Alexandria.

Top 10 peaks for 10 to 80 degrees two-theta, in order of rising 2θ:
two_theta  I/Imax  hkl
19.09  100  0 0 2
28.80  40  0 0 3
35.77  20  1 -1 0
35.88  19  1 1 -1
36.09  20  0 2 -1
36.43  41  0 2 0
36.87  19  -1 1 1
37.32  20  1 -1 1
37.96  19  1 1 -2
39.54  17  1 1 1

Structural model:
a b c (Å): 2.902 5.003 9.500
angles (deg): 99.45 96.97 90.01
Space group P1 (No. 1)
Symmetry-distinct sites (fractional):
Cd: 0.000 0.000 0.000
Cd: 0.499 0.500 0.999
H: 0.168 0.506 0.326
H: 0.216 0.595 0.399
H: 0.292 0.981 0.599
H: 0.371 0.955 0.674
H: 0.669 0.010 0.325
H: 0.705 0.091 0.400
H: 0.835 0.477 0.598
H: 0.837 0.459 0.675

[3]
# Cd5Hg4H2
Theoretical powder X-ray diffraction pattern, Cu Kα, 1.54184 Å. Input: the PBE geometry in Alexandria.

Top 10 peaks for 10 to 80 degrees two-theta, in order of rising 2θ:
two_theta  I/Imax  hkl
14.40  23  0 1 0
27.70  39  1 0 0
30.39  51  0 1 -4
31.73  100  0 2 1
37.05  19  0 2 -4
38.22  17  1 1 2
41.18  25  0 2 3
44.06  25  1 0 4
44.54  26  1 0 -5
44.94  20  0 3 -3

Structural model:
a b c (Å): 3.250 6.318 12.249
angles (deg): 103.05 97.06 90.21
Space group P-1 (No. 2)
Symmetry-distinct sites (fractional):
Cd: 0.000 0.000 0.000
Cd: 0.238 0.792 0.481
Cd: 0.369 0.105 0.724
Hg: 0.335 0.582 0.666
Hg: 0.467 0.595 0.904
H: 0.090 0.911 0.190

[4]
# CdHg5H2
Theoretical powder X-ray diffraction pattern, Cu Kα, 1.54184 Å. Input: the PBE geometry in Alexandria.

Top 10 peaks for 10 to 80 degrees two-theta, in order of rising 2θ:
two_theta  I/Imax  hkl
19.20  76  0 1 -1
24.81  67  1 1 -1
30.16  100  0 0 2
30.97  92  1 -2 0
31.43  86  1 1 1
33.71  73  -2 1 1
37.13  56  2 -1 1
37.19  45  2 1 -1
45.36  43  -1 2 2
52.28  28  1 2 -3

Structural model:
a b c (Å): 5.899 6.122 6.129
angles (deg): 98.27 100.28 100.39
Space group P-1 (No. 2)
Symmetry-distinct sites (fractional):
Cd: 0.000 0.000 0.000
Hg: 0.000 0.500 0.500
Hg: 0.288 0.032 0.611
Hg: 0.288 0.611 0.031
H: 0.232 0.186 0.186

[5]
# Cd2Hg7H2
Theoretical powder X-ray diffraction pattern, Cu Kα, 1.54184 Å. Input: the PBE geometry in Alexandria.

Top 10 peaks for 10 to 80 degrees two-theta, in order of rising 2θ:
two_theta  I/Imax  hkl
16.05  35  1 1 0
28.95  44  3 1 1
29.57  50  4 0 0
32.43  100  2 2 0
35.67  90  0 0 3
38.16  30  4 0 -2
40.48  36  2 2 -2
46.99  34  4 0 3
48.98  51  2 2 3
54.29  31  6 2 0

Structural model:
a b c (Å): 12.086 6.208 7.548
angles (deg): 90.00 90.07 90.00
Space group C2/m (No. 12)
Symmetry-distinct sites (fractional):
Cd: 0.143 0.000 0.000
Hg: 0.000 0.000 0.306
Hg: 0.000 0.500 0.000
Hg: 0.250 0.250 0.306
H: 0.000 0.216 0.500

[6]
# CdHg2H3
Theoretical powder X-ray diffraction pattern, Cu Kα, 1.54184 Å. Input: the PBE geometry in Alexandria.

Top 10 peaks for 10 to 80 degrees two-theta, in order of rising 2θ:
two_theta  I/Imax  hkl
23.26  100  0 0 1
33.21  86  1 3 0
34.08  40  0 6 0
40.95  94  1 3 1
41.68  45  0 6 1
47.56  16  0 0 2
59.24  33  1 3 2
59.80  16  0 6 2
65.68  23  1 9 1
74.62  16  2 6 1

Structural model:
a b c (Å): 3.142 15.783 3.824
angles (deg): 90.00 90.00 90.00
Space group Cmmm (No. 65)
Symmetry-distinct sites (fractional):
Cd: 0.000 0.000 0.000
Hg: 0.000 0.335 0.000
H: 0.000 0.000 0.500
H: 0.000 0.332 0.500

[7]
# CdHgH2
Theoretical powder X-ray diffraction pattern, Cu Kα, 1.54184 Å. Input: the PBE geometry in Alexandria.

Top 10 peaks for 10 to 80 degrees two-theta, in order of rising 2θ:
two_theta  I/Imax  hkl
17.97  7  1 0 1
29.56  100  2 0 0
34.81  5  2 1 1
42.29  19  2 2 0
46.30  2  3 0 1
52.44  40  3 1 2
55.89  2  3 2 1
61.35  13  4 0 0
69.56  17  4 2 0
77.34  4  4 0 4

Structural model:
a b c (Å): 6.046 6.046 8.541
angles (deg): 90.00 90.00 90.00
Space group I-42d (No. 122)
Symmetry-distinct sites (fractional):
Cd: 0.000 0.000 0.000
Hg: 0.000 0.000 0.500
H: 0.009 0.250 0.125

[8]
# Cd2Hg3H4
Theoretical powder X-ray diffraction pattern, Cu Kα, 1.54184 Å. Input: the PBE geometry in Alexandria.

Top 10 peaks for 10 to 80 degrees two-theta, in order of rising 2θ:
two_theta  I/Imax  hkl
16.57  95  0 0 2
18.88  33  0 1 2
27.60  28  0 3 0
29.53  93  1 1 1
32.25  93  0 3 2
32.47  100  0 3 -2
33.50  88  0 0 4
36.08  48  -1 2 1
40.54  34  1 1 -3
41.40  41  1 -2 3

Structural model:
a b c (Å): 3.201 9.708 10.749
angles (deg): 89.30 84.56 87.23
Space group P-1 (No. 2)
Symmetry-distinct sites (fractional):
Cd: 0.037 0.352 0.015
Cd: 0.461 0.647 0.478
Hg: 0.136 0.158 0.242
Hg: 0.247 0.499 0.752
Hg: 0.464 0.142 0.740
H: 0.011 0.009 0.034
H: 0.015 0.038 0.495
H: 0.063 0.259 0.474
H: 0.437 0.742 0.029

[9]
# CdHgH6Ir2
Theoretical powder X-ray diffraction pattern, Cu Kα, 1.54184 Å. Input: the PBE geometry in Alexandria.

Top 10 peaks for 10 to 80 degrees two-theta, in order of rising 2θ:
two_theta  I/Imax  hkl
14.18  100  1 1 0
28.21  31  0 4 0
29.69  62  2 2 -1
33.95  37  1 3 1
37.69  32  1 5 0
37.87  43  1 1 -2
39.31  68  2 2 1
42.26  62  3 3 -1
52.32  35  1 5 -2
70.89  25  1 3 3

Structural model:
a b c (Å): 7.601 12.654 4.838
angles (deg): 90.00 109.14 90.00
Space group C2/c (No. 15)
Symmetry-distinct sites (fractional):
Cd: 0.000 0.215 0.250
Hg: 0.000 0.385 0.750
H: 0.074 0.072 0.516
H: 0.198 0.171 0.815
H: 0.209 0.002 0.849
Ir: 0.204 0.409 0.341

[10]
# Cd2HgHPd6
Theoretical powder X-ray diffraction pattern, Cu Kα, 1.54184 Å. Input: the PBE geometry in Alexandria.

Top 10 peaks for 10 to 80 degrees two-theta, in order of rising 2θ:
two_theta  I/Imax  hkl
12.99  27  0 0 1
20.20  23  0 1 1
38.06  40  2 2 2
39.68  47  0 0 3
41.07  100  0 2 2
43.11  23  0 2 -1
43.27  22  2 0 -1
43.38  21  2 2 3
48.70  22  2 2 -1
66.42  22  2 4 2

Structural model:
a b c (Å): 5.607 5.627 7.536
angles (deg): 68.33 68.29 60.19
Space group P-1 (No. 2)
Symmetry-distinct sites (fractional):
Cd: 0.234 0.231 0.299
Hg: 0.000 0.000 0.000
H: 0.500 0.500 0.500
Pd: 0.221 0.722 0.331
Pd: 0.275 0.278 0.670
Pd: 0.276 0.781 0.668

[11]
# CdHg3H2Pd9
Theoretical powder X-ray diffraction pattern, Cu Kα, 1.54184 Å. Input: the PBE geometry in Alexandria.

Top 10 peaks for 10 to 80 degrees two-theta, in order of rising 2θ:
two_theta  I/Imax  hkl
26.67  23  0 1 2
29.42  19  0 0 3
37.86  100  0 2 1
39.59  33  0 0 4
41.71  100  2 0 2
47.56  37  2 0 3
63.54  20  0 2 5
65.70  27  2 2 0
73.27  17  2 0 6
79.50  25  2 2 4

Structural model:
a b c (Å): 5.6851 5.6851 9.1065
angles (deg): 90.00 90.00 120.00
Space group P-3m1 (No. 164)
Symmetry-distinct sites (fractional):
Cd: 0.0000 0.0000 0.0000
Hg: 0.0000 0.0000 0.5000
Hg: 0.3333 0.6667 0.2136
H: 0.3333 0.6667 0.6355
Pd: 0.0000 0.5000 0.5000
Pd: 0.1672 0.3344 0.7589

[12]
# CdHgHRh
Theoretical powder X-ray diffraction pattern, Cu Kα, 1.54184 Å. Input: the PBE geometry in Alexandria.

Top 10 peaks for 10 to 80 degrees two-theta, in order of rising 2θ:
two_theta  I/Imax  hkl
23.22  29  0 1 1
28.45  20  1 0 0
34.14  40  1 0 2
35.32  96  0 1 3
37.04  100  1 1 1
43.33  32  0 2 0
45.96  29  1 1 3
47.69  27  1 0 4
66.39  20  1 2 4
70.56  25  2 1 3

Structural model:
a b c (Å): 3.137 4.176 9.606
angles (deg): 90.00 90.00 90.00
Space group Amm2 (No. 38)
Symmetry-distinct sites (fractional):
Cd: 0.000 0.000 0.000
Hg: 0.500 0.000 0.309
H: 0.000 0.000 0.684
Rh: 0.500 0.000 0.605

[13]
# HoCdH
Theoretical powder X-ray diffraction pattern, Cu Kα, 1.54184 Å. Input: the PBE geometry in Alexandria.

Top 10 peaks for 10 to 80 degrees two-theta, in order of rising 2θ:
two_theta  I/Imax  hkl
27.36  33  2 4 0
29.00  34  1 5 0
30.33  51  3 1 1
33.37  35  3 3 -1
33.58  100  1 5 -1
33.90  34  1 5 1
34.13  47  0 0 2
34.30  56  3 3 1
35.64  52  4 0 -1
60.54  39  2 4 3

Structural model:
a b c (Å): 11.254 16.006 5.259
angles (deg): 90.00 92.16 90.00
Space group Cm (No. 8)
Symmetry-distinct sites (fractional):
Ho: 0.000 0.000 0.000
Ho: 0.005 0.500 0.341
Ho: 0.216 0.178 0.025
Ho: 0.268 0.385 0.368
Ho: 0.493 0.213 0.386
Cd: 0.043 0.102 0.502
Cd: 0.091 0.383 0.868
Cd: 0.234 0.000 0.333
Cd: 0.356 0.000 0.815
Cd: 0.408 0.308 0.887
H: 0.138 0.073 0.848
H: 0.179 0.262 0.327
H: 0.187 0.500 0.462
H: 0.329 0.500 0.178
H: 0.375 0.120 0.222